[1]
Computed powder X-ray diffraction pattern
Compound: In17Hg11Bi
Radiation: Cu Kα (weighted mean of Kα1 and Kα2)
Structure: a crystal structure in Alexandria, relaxed with GGA-PBE
Neutral-atom scattering factors, no anomalous dispersion.

Structure:
```
data_In17Hg11Bi
_chemical_formula_sum 'In34 Hg22 Bi2'
_cell_length_a 12.203
_cell_length_b 15.447
_cell_length_c 8.727
_cell_angle_alpha 90.00
_cell_angle_beta 99.00
_cell_angle_gamma 90.00
_symmetry_space_group_name_H-M 'C 1 m 1'
_symmetry_Int_Tables_number 8
loop_
_symmetry_equiv_pos_as_xyz
'x,y,z'
'x,-y,z'
'x+1/2,y+1/2,z'
'x+1/2,-y+1/2,z'
loop_
_atom_site_label
_atom_site_fract_x
_atom_site_fract_y
_atom_site_fract_z
_atom_site_occupancy
In1 0.000 0.000 0.000 1
In2 0.025 0.000 0.591 1
In3 0.097 0.377 0.835 1
In4 0.150 0.500 0.471 1
In5 0.181 0.284 0.463 1
In6 0.230 0.000 0.871 1
In7 0.322 0.184 0.773 1
In8 0.338 0.000 0.224 1
In9 0.374 0.389 0.326 1
In10 0.415 0.185 0.432 1
In11 0.485 0.294 0.045 1
Hg1 0.045 0.390 0.169 1
Hg2 0.061 0.188 0.709 1
Hg3 0.139 0.101 0.332 1
Hg4 0.249 0.224 0.093 1
Hg5 0.251 0.500 0.061 1
Hg6 0.326 0.396 0.731 1
Bi1 0.416 0.000 0.621 1
```

Principal peaks in the range 2θ = 5–70°, by intensity:
| Position (°2θ) | I (rel.) |
| --- | --- |
| 33.52 | 100 |
| 31.10 | 90 |
| 36.69 | 83 |
| 32.04 | 71 |
| 35.88 | 66 |
| 32.99 | 56 |
| 28.50 | 53 |
| 35.54 | 53 |

[2]
Computed powder X-ray diffraction pattern
Compound: In16Hg12Bi
Radiation: Cu Kα (weighted mean of Kα1 and Kα2)
Structure: a crystal structure in Alexandria, relaxed with GGA-PBE
Neutral-atom scattering factors, no anomalous dispersion.

Structure:
```
data_In16Hg12Bi
_chemical_formula_sum 'In32 Hg24 Bi2'
_cell_length_a 11.767
_cell_length_b 15.746
_cell_length_c 9.753
_cell_angle_alpha 90.00
_cell_angle_beta 119.91
_cell_angle_gamma 90.00
_symmetry_space_group_name_H-M 'C 1 m 1'
_symmetry_Int_Tables_number 8
loop_
_symmetry_equiv_pos_as_xyz
'x,y,z'
'x,-y,z'
'x+1/2,y+1/2,z'
'x+1/2,-y+1/2,z'
loop_
_atom_site_label
_atom_site_fract_x
_atom_site_fract_y
_atom_site_fract_z
_atom_site_occupancy
In1 0.000 0.000 0.000 1
In2 0.008 0.373 0.302 1
In3 0.057 0.500 0.597 1
In4 0.159 0.197 0.988 1
In5 0.289 0.327 0.310 1
In6 0.299 0.000 0.645 1
In7 0.332 0.359 0.743 1
In8 0.416 0.161 0.910 1
In9 0.474 0.500 0.322 1
In10 0.484 0.200 0.613 1
Hg1 0.053 0.100 0.655 1
Hg2 0.111 0.500 0.131 1
Hg3 0.184 0.213 0.522 1
Hg4 0.188 0.399 0.925 1
Hg5 0.247 0.098 0.310 1
Hg6 0.274 0.500 0.499 1
Hg7 0.463 0.311 0.149 1
Bi1 0.279 0.000 0.997 1
```

Principal peaks in the range 2θ = 5–70°, by intensity:
| Position (°2θ) | I (rel.) |
| --- | --- |
| 33.03 | 100 |
| 37.53 | 93 |
| 32.71 | 76 |
| 33.93 | 63 |
| 31.04 | 57 |
| 31.64 | 56 |
| 34.11 | 52 |
| 38.84 | 51 |

[3]
Computed powder X-ray diffraction pattern
Compound: In9Hg2Bi4
Radiation: Cu Kα (weighted mean of Kα1 and Kα2)
Structure: a crystal structure in Alexandria, relaxed with GGA-PBE
Neutral-atom scattering factors, no anomalous dispersion.

Structure:
```
data_In9Hg2Bi4
_chemical_formula_sum 'In18 Hg4 Bi8'
_cell_length_a 9.291
_cell_length_b 5.347
_cell_length_c 17.535
_cell_angle_alpha 90.00
_cell_angle_beta 90.40
_cell_angle_gamma 90.00
_symmetry_space_group_name_H-M 'C 1 2/m 1'
_symmetry_Int_Tables_number 12
loop_
_symmetry_equiv_pos_as_xyz
'x,y,z'
'-x,-y,-z'
'-x,y,-z'
'x,-y,z'
'x+1/2,y+1/2,z'
'-x+1/2,-y+1/2,-z'
'-x+1/2,y+1/2,-z'
'x+1/2,-y+1/2,z'
loop_
_atom_site_label
_atom_site_fract_x
_atom_site_fract_y
_atom_site_fract_z
_atom_site_occupancy
In1 0.000 0.000 0.000 1
In2 0.000 0.000 0.213 1
In3 0.001 0.000 0.593 1
In4 0.166 0.500 0.929 1
In5 0.168 0.500 0.516 1
Hg1 0.167 0.500 0.727 1
Bi1 0.165 0.500 0.326 1
Bi2 0.167 0.500 0.119 1
```

Principal peaks in the range 2θ = 5–70°, by intensity:
| Position (°2θ) | I (rel.) |
| --- | --- |
| 33.46 | 100 |
| 31.95 | 68 |
| 32.08 | 34 |
| 58.97 | 24 |
| 47.08 | 23 |
| 59.87 | 12 |
| 58.75 | 12 |
| 46.76 | 12 |

[4]
Computed powder X-ray diffraction pattern
Compound: In4Hg4Bi
Radiation: Cu Kα (weighted mean of Kα1 and Kα2)
Structure: a crystal structure in Alexandria, relaxed with GGA-PBE
Neutral-atom scattering factors, no anomalous dispersion.

Structure:
```
data_In4Hg4Bi
_chemical_formula_sum 'In8 Hg8 Bi2'
_cell_length_a 9.934
_cell_length_b 5.192
_cell_length_c 11.028
_cell_angle_alpha 90.00
_cell_angle_beta 114.80
_cell_angle_gamma 90.00
_symmetry_space_group_name_H-M 'C 1 2/m 1'
_symmetry_Int_Tables_number 12
loop_
_symmetry_equiv_pos_as_xyz
'x,y,z'
'-x,-y,-z'
'-x,y,-z'
'x,-y,z'
'x+1/2,y+1/2,z'
'-x+1/2,-y+1/2,-z'
'-x+1/2,y+1/2,-z'
'x+1/2,-y+1/2,z'
loop_
_atom_site_label
_atom_site_fract_x
_atom_site_fract_y
_atom_site_fract_z
_atom_site_occupancy
In1 0.153 0.000 0.327 1
In2 0.220 0.500 0.092 1
Hg1 0.054 0.500 0.744 1
Hg2 0.159 0.000 0.603 1
Bi1 0.000 0.000 0.000 1
```

Principal peaks in the range 2θ = 5–70°, by intensity:
| Position (°2θ) | I (rel.) |
| --- | --- |
| 32.26 | 100 |
| 34.54 | 77 |
| 36.74 | 57 |
| 32.85 | 52 |
| 48.41 | 37 |
| 23.66 | 35 |
| 29.34 | 32 |
| 32.52 | 29 |